Computed X-ray diffraction stick pattern
Compound: LiV6O11F
Radiation: Cu Kα
Structure: a crystal structure in Alexandria, relaxed with PBE+U

Top 8 peaks for 15 to 90 degrees two-theta, by angle:
hkl	2θ/deg	I (rel.)
1 1 0	26.4	96
1 -1 0	27.2	100
1 0 3	35.5	50
1 0 -3	35.6	47
-1 1 3	40.8	19
2 1 3	52.7	27
-1 2 3	53.6	30
2 -2 0	56.2	18

Cell: 4.687 4.719 8.996 Å, 89.82 89.76 88.25°
Space group P1 (No. 1)
Unique sites:
Li 0.000 0.000 0.000 x1
V 0.001 0.509 0.743 x1
V 0.014 0.522 0.390 x1
V 0.457 0.964 0.570 x1
V 0.506 0.015 0.898 x1
V 0.521 0.028 0.243 x1
V 0.995 0.501 0.076 x1
O 0.191 0.699 0.565 x1
O 0.191 0.703 0.909 x1
O 0.198 0.706 0.250 x1
O 0.296 0.192 0.735 x1
O 0.297 0.190 0.075 x1
O 0.299 0.199 0.406 x1
O 0.684 0.804 0.735 x1
O 0.690 0.805 0.406 x1
O 0.692 0.810 0.074 x1
O 0.787 0.288 0.908 x1
O 0.797 0.300 0.244 x1
F 0.802 0.311 0.566 x1